No. 1
For TbDy2AgC, DFT lattice parameters and positions (PBE) gives the computed X-ray powder pattern in this record (a wavelength of 1.5418 Å).
Peak positions follow from Bragg's law for the DFT cell and can differ from measured ones.

Peak list (12 most intense, 15° ≤ 2θ ≤ 90°, by intensity)
2.831 Å, 2θ = 31.60°, rel. 100
2.431 Å, 2θ = 36.98°, rel. 35
1.469 Å, 2θ = 63.30°, rel. 27
1.742 Å, 2θ = 52.54°, rel. 25
2.497 Å, 2θ = 35.97°, rel. 19
1.498 Å, 2θ = 61.94°, rel. 14
1.416 Å, 2θ = 65.99°, rel. 13
1.719 Å, 2θ = 53.30°, rel. 12
1.129 Å, 2θ = 86.10°, rel. 12
1.111 Å, 2θ = 87.93°, rel. 6
1.117 Å, 2θ = 87.31°, rel. 6
1.093 Å, 2θ = 89.74°, rel. 6

Atomic structure:
```
TbDy2AgC
1.0
4.861 0.000 0.000
0.000 4.861 0.000
0.000 0.000 4.994
Tb Dy Ag C
1 2 1 1
Cartesian
0.000 0.000 0.000 Tb
0.000 2.431 2.506 Dy
2.431 0.000 2.506 Dy
2.431 2.431 0.061 Ag
0.000 0.000 2.590 C
```

---

No. 2
For TbEr2AgC, DFT lattice parameters and positions (PBE) gives the computed X-ray powder pattern in this record (a wavelength of 1.5418 Å).
Peak positions follow from Bragg's law for the DFT cell and can differ from measured ones.

Peak list (12 most intense, 15° ≤ 2θ ≤ 90°, by intensity)
2.811 Å, 2θ = 31.83°, rel. 100
2.394 Å, 2θ = 37.57°, rel. 34
1.450 Å, 2θ = 64.22°, rel. 27
1.737 Å, 2θ = 52.71°, rel. 26
2.522 Å, 2θ = 35.59°, rel. 20
1.506 Å, 2θ = 61.58°, rel. 15
1.406 Å, 2θ = 66.52°, rel. 13
1.125 Å, 2θ = 86.49°, rel. 12
1.693 Å, 2θ = 54.18°, rel. 12
1.116 Å, 2θ = 87.40°, rel. 6
1.101 Å, 2θ = 88.84°, rel. 6
1.197 Å, 2θ = 80.18°, rel. 4

Atomic structure:
```
TbEr2AgC
1.0
4.789 0.000 0.000
0.000 4.789 0.000
0.000 0.000 5.045
Tb Er Ag C
1 2 1 1
Cartesian
0.000 0.000 0.000 Tb
0.000 2.394 2.538 Er
2.394 0.000 2.538 Er
2.394 2.394 0.082 Ag
0.000 0.000 2.635 C
```

---

No. 3
For AgCF2, DFT lattice parameters and positions (PBE) gives the computed X-ray powder pattern in this record (a wavelength of 1.5418 Å).
Peak positions follow from Bragg's law for the DFT cell and can differ from measured ones.

Peak list (12 most intense, 15° ≤ 2θ ≤ 90°, by intensity)
2.334 Å, 2θ = 38.57°, rel. 100
2.495 Å, 2θ = 35.99°, rel. 98
2.620 Å, 2θ = 34.23°, rel. 89
3.634 Å, 2θ = 24.50°, rel. 85
2.236 Å, 2θ = 40.34°, rel. 64
2.693 Å, 2θ = 33.27°, rel. 60
1.868 Å, 2θ = 48.74°, rel. 59
3.886 Å, 2θ = 22.89°, rel. 52
3.322 Å, 2θ = 26.84°, rel. 49
2.593 Å, 2θ = 34.59°, rel. 48
4.426 Å, 2θ = 20.06°, rel. 48
2.092 Å, 2θ = 43.25°, rel. 44

Atomic structure:
```
AgCF2
1.0
3.891 -2.693 0.000
3.891 2.693 0.000
-0.349 0.000 6.644
Ag C F
2 2 4
Cartesian
1.190 0.000 3.172 Ag
6.244 0.000 3.472 Ag
2.592 -1.168 1.934 C
4.841 -1.168 4.710 C
1.328 0.968 5.888 F
3.671 -0.381 1.634 F
3.763 -0.381 5.010 F
6.105 0.968 0.756 F
```

---

No. 4
For AgSbH2C2N2F6, DFT lattice parameters and positions (PBE) gives the computed X-ray powder pattern in this record (a wavelength of 1.5418 Å).
Peak positions follow from Bragg's law for the DFT cell and can differ from measured ones.

Peak list (12 most intense, 15° ≤ 2θ ≤ 90°, by intensity)
3.513 Å, 2θ = 25.35°, rel. 100
4.330 Å, 2θ = 20.51°, rel. 70
3.570 Å, 2θ = 24.94°, rel. 29
2.469 Å, 2θ = 36.39°, rel. 26
2.037 Å, 2θ = 44.48°, rel. 22
1.757 Å, 2θ = 52.05°, rel. 19
2.050 Å, 2θ = 44.17°, rel. 18
3.070 Å, 2θ = 29.09°, rel. 15
2.018 Å, 2θ = 44.92°, rel. 15
2.480 Å, 2θ = 36.22°, rel. 12
1.819 Å, 2θ = 50.16°, rel. 12
1.765 Å, 2θ = 51.79°, rel. 10

Atomic structure:
```
AgSbH2C2N2F6
1.0
5.445 0.000 0.000
0.000 12.024 0.000
0.000 0.000 7.141
Ag Sb H C N F
2 2 4 4 4 12
Cartesian
0.000 0.000 0.000 Ag
2.722 6.012 3.570 Ag
0.000 6.012 0.000 Sb
2.722 0.000 3.570 Sb
0.011 2.662 3.570 H
2.711 8.674 0.000 H
2.733 3.350 0.000 H
5.434 9.362 3.570 H
0.723 8.560 3.570 C
1.999 2.548 0.000 C
3.445 9.476 0.000 C
4.721 3.464 3.570 C
1.221 1.695 0.000 N
1.502 7.707 3.570 N
3.943 4.317 3.570 N
4.224 10.329 0.000 N
1.050 5.139 1.354 F
1.050 5.139 5.787 F
1.219 7.506 0.000 F
1.503 1.494 3.570 F
1.673 11.151 2.217 F
1.673 11.151 4.924 F
3.772 0.872 2.217 F
3.772 0.872 4.924 F
3.941 10.530 3.570 F
4.226 4.518 0.000 F
4.395 6.884 1.354 F
4.395 6.884 5.787 F
```

---

No. 5
For SmFeAgC, DFT lattice parameters and positions (PBE) gives the computed X-ray powder pattern in this record (a wavelength of 1.5418 Å).
Peak positions follow from Bragg's law for the DFT cell and can differ from measured ones.

Peak list (12 most intense, 15° ≤ 2θ ≤ 90°, by intensity)
2.277 Å, 2θ = 39.59°, rel. 100
3.401 Å, 2θ = 26.20°, rel. 63
2.497 Å, 2θ = 35.97°, rel. 29
1.809 Å, 2θ = 50.45°, rel. 28
2.450 Å, 2θ = 36.69°, rel. 27
1.465 Å, 2θ = 63.51°, rel. 21
1.115 Å, 2θ = 87.47°, rel. 20
1.395 Å, 2θ = 67.09°, rel. 15
1.597 Å, 2θ = 57.73°, rel. 14
3.329 Å, 2θ = 26.78°, rel. 10
1.455 Å, 2θ = 63.98°, rel. 10
2.478 Å, 2θ = 36.25°, rel. 10

Atomic structure:
```
SmFeAgC
1.0
3.618 0.000 0.000
0.000 3.618 0.000
0.000 0.000 9.987
Sm Fe Ag C
2 2 2 2
Cartesian
0.904 0.904 2.258 Sm
2.713 2.713 7.730 Sm
0.904 2.713 0.000 Fe
2.713 0.904 0.000 Fe
0.904 2.713 4.994 Ag
2.713 0.904 4.994 Ag
0.904 0.904 9.151 C
2.713 2.713 0.836 C
```

---

No. 6
For AgH3CN2, DFT lattice parameters and positions (PBE) gives the computed X-ray powder pattern in this record (a wavelength of 1.5418 Å).
Peak positions follow from Bragg's law for the DFT cell and can differ from measured ones.

Peak list (12 most intense, 15° ≤ 2θ ≤ 90°, by intensity)
3.215 Å, 2θ = 27.75°, rel. 100
2.775 Å, 2θ = 32.26°, rel. 22
2.759 Å, 2θ = 32.45°, rel. 21
2.258 Å, 2θ = 39.93°, rel. 17
2.600 Å, 2θ = 34.49°, rel. 14
1.668 Å, 2θ = 55.05°, rel. 12
3.884 Å, 2θ = 22.90°, rel. 12
1.841 Å, 2θ = 49.52°, rel. 10
3.176 Å, 2θ = 28.10°, rel. 8
1.978 Å, 2θ = 45.87°, rel. 8
1.608 Å, 2θ = 57.31°, rel. 8
2.344 Å, 2θ = 38.40°, rel. 7

Atomic structure:
```
AgH3CN2
1.0
4.091 0.000 0.000
0.000 15.535 0.000
0.000 0.000 5.519
Ag H C N
4 12 4 8
Cartesian
0.971 0.339 1.380 Ag
0.971 7.428 4.139 Ag
3.120 8.106 1.380 Ag
3.120 15.196 4.139 Ag
0.621 3.068 1.380 H
0.621 4.699 4.139 H
1.996 2.673 0.557 H
1.996 2.673 2.202 H
1.996 5.095 3.316 H
1.996 5.095 4.962 H
2.095 10.440 0.557 H
2.095 10.440 2.202 H
2.095 12.862 3.316 H
2.095 12.862 4.962 H
3.470 10.836 1.380 H
3.470 12.466 4.139 H
0.665 9.437 4.139 C
0.665 13.865 1.380 C
3.426 1.670 4.139 C
3.426 6.098 1.380 C
0.540 10.606 4.139 N
0.540 12.696 1.380 N
1.433 2.436 1.380 N
1.433 5.332 4.139 N
2.658 10.203 1.380 N
2.658 13.099 4.139 N
3.551 2.839 4.139 N
3.551 4.929 1.380 N
```

---

Q: What is the formula in the third record?
A: AgCF2